Structure and calculated X-ray diffraction stick pattern of CoSe2NO (a crystal structure in Alexandria, relaxed with GGA+U; Cu Ka).
Lines closer than 0.1° are merged.

Main lines, in order of falling intensity (5° ≤ 2θ ≤ 70°):
d/Å, Rel. int., (hkl)
2.391, 100, 2 0 0
3.276, 68, 0 0 1
1.931, 62, 2 0 1
2.353, 48, 1 1 1
4.782, 35, 1 0 0
1.691, 32, 2 2 0
1.351, 29, 2 0 2
1.502, 28, 2 2 1
2.703, 19, 1 0 1
3.381, 17, 1 1 0

```
data_CoSe2NO
_cell_length_a 4.7820
_cell_length_b 4.7820
_cell_length_c 3.2761
_cell_angle_alpha 90.00
_cell_angle_beta 90.00
_cell_angle_gamma 90.00
_symmetry_space_group_name_H-M 'P 4/m m m'
_symmetry_Int_Tables_number 123
_symmetry_space_group_name_Hall '-P 4 2'
loop_
_atom_site_label
_atom_site_fract_x
_atom_site_fract_y
_atom_site_fract_z
Co1 0.0000 0.0000 0.0000
Se1 0.0000 0.5000 0.0000
N1 0.0000 0.0000 0.5000
O1 0.5000 0.5000 0.5000
```